Calculated X-ray diffraction stick pattern of FeAs3O9 for CuKα, from a DFT-relaxed cell (PBE+U, Alexandria).
Neutral-atom scattering factors, no anomalous dispersion.

Largest 6 diffraction maxima, by angle, 2θ = 10–80°:
4.114 Å, 2θ = 21.60°, intensity 1000; 3.636 Å, 2θ = 24.48°, intensity 924; 3.256 Å, 2θ = 27.39°, intensity 360; 2.584 Å, 2θ = 34.72°, intensity 309; 2.364 Å, 2θ = 38.06°, intensity 226; 1.610 Å, 2θ = 57.20°, intensity 197

Atomic structure:
```
data_FeAs3O9
_cell_length_a 7.7627
_cell_length_b 7.7627
_cell_length_c 9.9837
_cell_angle_alpha 122.87
_cell_angle_beta 122.87
_cell_angle_gamma 52.01
_space_group_name_H-M_alt 'P 1'
_space_group_IT_number 1
loop_
_space_group_symop_operation_xyz
'x,y,z'
loop_
_atom_site_label
_atom_site_type_symbol
_atom_site_fract_x
_atom_site_fract_y
_atom_site_fract_z
Fe1 Fe 0.2345 0.7655 0.5000
Fe2 Fe 0.7655 0.2345 0.0000
As1 As 0.0275 0.2366 0.8199
As2 As 0.2366 0.0275 0.3199
As3 As 0.2862 0.4468 0.6771
As4 As 0.4468 0.2862 0.1771
As5 As 0.6937 0.7844 0.2259
As6 As 0.7844 0.6937 0.7259
O1 O 0.0728 0.1738 0.1826
O2 O 0.1233 0.9116 0.3325
O3 O 0.1738 0.0728 0.6826
O4 O 0.1876 0.3714 0.0124
O5 O 0.3064 0.6440 0.6692
O6 O 0.3714 0.1876 0.5124
O7 O 0.3746 0.4335 0.3534
O8 O 0.4335 0.3746 0.8534
O9 O 0.4909 0.7961 0.2673
O10 O 0.5284 0.9898 0.1178
O11 O 0.5347 0.7642 0.5720
O12 O 0.6440 0.3064 0.1692
O13 O 0.7642 0.5347 0.0720
O14 O 0.7961 0.4909 0.7673
O15 O 0.8332 0.8970 0.9083
O16 O 0.8970 0.8332 0.4083
O17 O 0.9116 0.1233 0.8325
O18 O 0.9898 0.5284 0.6178
```